1.
Diffraction record for K2CdSn. The powder diffractogram is computed, not measured: it uses DFT lattice parameters and positions (GGA-PBE) and Cu Kα (λ = 1.5418 Å).

Crystal structure
Cell lengths 6.473, 8.572, 10.889 Å; angles 90.00, 90.00, 90.00 degrees
Space group Ama2 (No. 40)
Unique sites:
K (0.250, 0.140, 0.000)
K (0.250, 0.148, 0.348)
Cd (0.000, 0.000, 0.671)
Sn (0.250, 0.269, 0.675)

The 10 most intense peaks (10 to 90 degrees two-theta), in order of falling intensity:
16.28 deg, I = 100.0
30.09 deg, I = 90.3
38.58 deg, I = 66.9
19.02 deg, I = 63.5
30.65 deg, I = 59.0
34.73 deg, I = 57.6
13.15 deg, I = 54.4
26.67 deg, I = 41.8
32.39 deg, I = 40.0
48.59 deg, I = 35.8


2.
Diffraction record for KTlCdSnTe4. The powder diffractogram is computed, not measured: it uses DFT lattice parameters and positions (GGA-PBE) and Cu Kα (λ = 1.5418 Å).

Crystal structure
Cell lengths 7.377, 8.609, 8.740 Å; angles 90.00, 90.00, 90.00 degrees
Space group I222 (No. 23)
Unique sites:
K (0.000, 0.000, 0.000)
Tl (0.000, 0.500, 0.500)
Cd (0.000, 0.500, 0.000)
Sn (0.000, 0.000, 0.500)
Te (0.240, 0.178, 0.678)

The 10 most intense peaks (10 to 90 degrees two-theta), in order of falling intensity:
31.75 deg, I = 100.0
31.95 deg, I = 98.7
29.12 deg, I = 91.4
25.86 deg, I = 83.0
26.04 deg, I = 79.9
58.38 deg, I = 30.4
44.51 deg, I = 27.1
45.09 deg, I = 26.6
15.72 deg, I = 26.4
49.42 deg, I = 21.7


3.
Diffraction record for KTbCdTe3. The powder diffractogram is computed, not measured: it uses DFT lattice parameters and positions (GGA-PBE) and Cu Kα (λ = 1.5418 Å).

Crystal structure
Cell lengths 9.198, 4.508, 11.014 Å; angles 90.00, 107.74, 90.00 degrees
Space group P2_1/m (No. 11)
Unique sites:
K (0.235, 0.250, 0.265)
Tb (0.320, 0.750, 0.864)
Cd (0.081, 0.250, 0.610)
Te (0.083, 0.250, 0.865)
Te (0.245, 0.750, 0.551)
Te (0.456, 0.750, 0.153)

The 10 most intense peaks (10 to 90 degrees two-theta), in order of falling intensity:
11.01 deg, I = 100.0
27.81 deg, I = 60.3
28.41 deg, I = 43.7
39.66 deg, I = 40.9
31.51 deg, I = 38.5
40.00 deg, I = 26.5
30.27 deg, I = 24.0
25.47 deg, I = 23.8
42.69 deg, I = 17.7
39.40 deg, I = 16.2


4.
Diffraction record for K2Cd3Te4. The powder diffractogram is computed, not measured: it uses DFT lattice parameters and positions (GGA-PBE) and Cu Kα (λ = 1.5418 Å).

Crystal structure
Cell lengths 15.178, 11.444, 7.375 Å; angles 90.00, 90.00, 90.00 degrees
Space group Pnma (No. 62)
Unique sites:
K (0.000, 0.000, 0.000)
K (0.035, 0.250, 0.474)
Cd (0.201, 0.750, 0.231)
Cd (0.243, 0.097, 0.161)
Te (0.131, 0.532, 0.391)
Te (0.134, 0.250, 0.923)
Te (0.143, 0.750, 0.870)

The 10 most intense peaks (10 to 90 degrees two-theta), in order of falling intensity:
26.44 deg, I = 100.0
11.66 deg, I = 96.9
29.98 deg, I = 57.7
22.90 deg, I = 48.3
40.34 deg, I = 48.0
26.92 deg, I = 47.1
38.40 deg, I = 46.9
41.72 deg, I = 43.3
28.86 deg, I = 38.4
35.52 deg, I = 33.6


5.
Diffraction record for K2TlCd. The powder diffractogram is computed, not measured: it uses DFT lattice parameters and positions (GGA-PBE) and Cu Kα (λ = 1.5418 Å).

Crystal structure
Cell lengths 5.722, 5.802, 8.192 Å; angles 90.00, 90.00, 90.00 degrees
Space group Pmma (No. 51)
Unique sites:
K (0.250, 0.000, 0.124)
K (0.250, 0.500, 0.373)
Tl (0.250, 0.000, 0.621)
Cd (0.250, 0.500, 0.875)

The 10 most intense peaks (10 to 90 degrees two-theta), in order of falling intensity:
30.96 deg, I = 100.0
18.74 deg, I = 29.2
54.89 deg, I = 28.5
18.92 deg, I = 26.3
30.82 deg, I = 25.3
31.26 deg, I = 24.4
36.41 deg, I = 22.1
55.45 deg, I = 18.5
44.47 deg, I = 18.1
73.11 deg, I = 11.8


6.
Diffraction record for KTlCd. The powder diffractogram is computed, not measured: it uses DFT lattice parameters and positions (GGA-PBE) and Cu Kα (λ = 1.5418 Å).

Crystal structure
Cell lengths 7.720, 7.720, 7.720 Å; angles 90.00, 90.00, 90.00 degrees
Space group F-43m (No. 216)
Unique sites:
K (0.000, 0.000, 0.000)
Tl (0.250, 0.250, 0.750)
Cd (0.000, 0.000, 0.500)

The 10 most intense peaks (10 to 90 degrees two-theta), in order of falling intensity:
32.81 deg, I = 100.0
19.92 deg, I = 81.1
38.69 deg, I = 46.1
58.58 deg, I = 37.1
51.61 deg, I = 20.4
47.09 deg, I = 18.0
78.34 deg, I = 15.8
62.52 deg, I = 15.4
72.43 deg, I = 15.0
68.79 deg, I = 11.4


7.
Diffraction record for K4Tl3Cd. The powder diffractogram is computed, not measured: it uses DFT lattice parameters and positions (GGA-PBE) and Cu Kα (λ = 1.5418 Å).

Crystal structure
Cell lengths 5.807, 5.807, 8.299 Å; angles 90.00, 90.00, 90.00 degrees
Space group P-4m2 (No. 115)
Unique sites:
K (0.000, 0.000, 0.000)
K (0.000, 0.500, 0.749)
K (0.500, 0.500, 0.500)
Tl (0.000, 0.500, 0.250)
Tl (0.500, 0.500, 0.000)
Cd (0.000, 0.000, 0.500)

The 10 most intense peaks (10 to 90 degrees two-theta), in order of falling intensity:
30.63 deg, I = 100.0
18.65 deg, I = 64.2
30.79 deg, I = 49.3
54.66 deg, I = 38.2
36.24 deg, I = 25.9
54.35 deg, I = 19.4
44.11 deg, I = 18.2
72.79 deg, I = 16.1
35.96 deg, I = 13.2
48.05 deg, I = 12.1


8.
Diffraction record for Li2LaScTl2Cd2. The powder diffractogram is computed, not measured: it uses DFT lattice parameters and positions (GGA-PBE) and Cu Kα (λ = 1.5418 Å).

Crystal structure
Cell lengths 5.027, 5.027, 7.364 Å; angles 90.00, 90.00, 90.00 degrees
Space group P-4m2 (No. 115)
Unique sites:
Li (0.000, 0.000, 0.000)
Li (0.500, 0.500, 0.500)
La (0.000, 0.000, 0.500)
Sc (0.500, 0.500, 0.000)
Tl (0.000, 0.500, 0.775)
Cd (0.000, 0.500, 0.222)

The 10 most intense peaks (10 to 90 degrees two-theta), in order of falling intensity:
35.09 deg, I = 100.0
35.72 deg, I = 51.6
25.05 deg, I = 36.2
63.77 deg, I = 34.7
21.40 deg, I = 31.8
51.41 deg, I = 18.2
24.17 deg, I = 16.9
43.60 deg, I = 14.5
62.54 deg, I = 14.3
42.02 deg, I = 11.4


9.
Diffraction record for La2Mg3CdNi2. The powder diffractogram is computed, not measured: it uses DFT lattice parameters and positions (GGA-PBE) and Cu Kα (λ = 1.5418 Å).

Crystal structure
Cell lengths 10.089, 4.219, 8.305 Å; angles 90.00, 90.13, 90.00 degrees
Space group Cm (No. 8)
Unique sites:
La (0.000, 0.000, 0.000)
La (0.118, 0.000, 0.498)
Mg (0.213, 0.500, 0.805)
Mg (0.216, 0.500, 0.197)
Mg (0.404, 0.000, 0.695)
Cd (0.411, 0.000, 0.302)
Ni (0.280, 0.000, 0.999)
Ni (0.333, 0.500, 0.506)

The 10 most intense peaks (10 to 90 degrees two-theta), in order of falling intensity:
31.51 deg, I = 100.0
35.81 deg, I = 77.1
37.27 deg, I = 36.2
21.40 deg, I = 31.4
42.87 deg, I = 27.0
22.85 deg, I = 25.4
47.71 deg, I = 23.1
37.04 deg, I = 21.0
58.08 deg, I = 19.4
34.09 deg, I = 17.5


10.
Diffraction record for La2MgCd3Pt2. The powder diffractogram is computed, not measured: it uses DFT lattice parameters and positions (GGA-PBE) and Cu Kα (λ = 1.5418 Å).

Crystal structure
Cell lengths 10.206, 4.291, 8.570 Å; angles 90.00, 90.07, 90.00 degrees
Space group Cm (No. 8)
Unique sites:
La (0.000, 0.000, 0.000)
La (0.129, 0.000, 0.497)
Mg (0.407, 0.000, 0.700)
Cd (0.202, 0.500, 0.798)
Cd (0.211, 0.500, 0.202)
Cd (0.422, 0.000, 0.300)
Pt (0.293, 0.000, 0.996)
Pt (0.344, 0.500, 0.509)

The 10 most intense peaks (10 to 90 degrees two-theta), in order of falling intensity:
35.25 deg, I = 100.0
30.76 deg, I = 88.3
42.14 deg, I = 59.5
38.89 deg, I = 45.0
36.76 deg, I = 32.6
20.73 deg, I = 27.6
41.18 deg, I = 24.3
46.60 deg, I = 24.2
17.38 deg, I = 24.1
24.79 deg, I = 23.1


11.
Diffraction record for LaMgCdPt. The powder diffractogram is computed, not measured: it uses DFT lattice parameters and positions (GGA-PBE) and Cu Kα (λ = 1.5418 Å).

Crystal structure
Cell lengths 4.303, 10.287, 8.474 Å; angles 90.00, 90.00, 90.00 degrees
Space group Cmc2_1 (No. 36)
Unique sites:
La (0.000, 0.063, 0.000)
Mg (0.000, 0.340, 0.798)
Cd (0.000, 0.363, 0.197)
Pt (0.000, 0.226, 0.493)

The 10 most intense peaks (10 to 90 degrees two-theta), in order of falling intensity:
35.10 deg, I = 100.0
30.87 deg, I = 71.1
20.97 deg, I = 41.7
39.14 deg, I = 36.3
24.77 deg, I = 35.1
42.00 deg, I = 32.1
36.51 deg, I = 30.0
46.71 deg, I = 27.2
41.06 deg, I = 21.7
65.11 deg, I = 20.6


12.
Diffraction record for LaCdMo. The powder diffractogram is computed, not measured: it uses DFT lattice parameters and positions (GGA-PBE) and Cu Kα (λ = 1.5418 Å).

Crystal structure
Cell lengths 6.968, 6.968, 6.968 Å; angles 90.00, 90.00, 90.00 degrees
Space group F-43m (No. 216)
Unique sites:
La (0.000, 0.000, 0.000)
Cd (0.250, 0.250, 0.250)
Mo (0.000, 0.000, 0.500)

The 10 most intense peaks (10 to 90 degrees two-theta), in order of falling intensity:
36.47 deg, I = 100.0
65.64 deg, I = 34.4
22.09 deg, I = 29.1
52.53 deg, I = 17.1
88.81 deg, I = 15.7
25.57 deg, I = 15.0
43.05 deg, I = 15.0
77.49 deg, I = 10.7
57.66 deg, I = 6.1
59.31 deg, I = 5.8